Simulated powder X-ray diffraction pattern of KMg14CO16 for copper Kα, from a cell relaxed with PBE.

Cell lengths 8.628, 8.628, 4.317 Å; angles 90.00, 90.00, 90.00 degrees
Space group P4/mmm (No. 123)
Inequivalent atoms, fractional coordinates:
K  0.000  0.000  0.000 [1 per cell]
Mg  0.000  0.257  0.500 [4 per cell]
Mg  0.000  0.500  0.000 [2 per cell]
Mg  0.252  0.252  0.000 [4 per cell]
Mg  0.254  0.500  0.500 [4 per cell]
C  0.500  0.500  0.000 [1 per cell]
O  0.000  0.000  0.500 [1 per cell]
O  0.000  0.276  0.000 [4 per cell]
O  0.000  0.500  0.500 [2 per cell]
O  0.252  0.252  0.500 [4 per cell]
O  0.266  0.500  0.000 [4 per cell]
O  0.500  0.500  0.500 [1 per cell]

Most intense lines, 2θ from 15° to 90°, by angle:
- (1 0 1), d = 3.860 Å, 2θ = 23.04°, intensity 1.4
- (3 0 0), d = 2.876 Å, 2θ = 31.09°, intensity 2.9
- (2 2 1), d = 2.491 Å, 2θ = 36.05°, intensity 10.8
- (3 2 0), d = 2.393 Å, 2θ = 37.58°, intensity 2.5
- (0 0 2), d = 2.158 Å, 2θ = 41.87°, intensity 100.0
- (3 2 1), d = 2.093 Å, 2θ = 43.22°, intensity 1.1
- (3 0 2), d = 1.726 Å, 2θ = 53.06°, intensity 1.4
- (3 2 2), d = 1.603 Å, 2θ = 57.50°, intensity 1.1
- (4 0 2), d = 1.526 Å, 2θ = 60.70°, intensity 55.0
- (4 3 2), d = 1.348 Å, 2θ = 69.77°, intensity 0.8
- (6 2 1), d = 1.301 Å, 2θ = 72.68°, intensity 7.7
- (4 4 2), d = 1.246 Å, 2θ = 76.47°, intensity 16.2



Simulated powder X-ray diffraction pattern of Zr2N2O for copper Kα, from a cell relaxed with PBE.

Cell lengths 3.489, 4.351, 8.782 Å; angles 100.70, 90.28, 90.05 degrees
Space group P-1 (No. 2)
Inequivalent atoms, fractional coordinates:
Zr  0.238  0.292  0.107 [2 per cell]
Zr  0.254  0.120  0.671 [2 per cell]
N  0.236  0.786  0.100 [2 per cell]
N  0.256  0.668  0.752 [2 per cell]
O  0.248  0.812  0.438 [2 per cell]

Most intense lines, 2θ from 15° to 90°, by angle:
- (0 1 -2), d = 3.365 Å, 2θ = 26.48°, intensity 41.4
- (0 1 2), d = 2.789 Å, 2θ = 32.09°, intensity 59.7
- (1 0 -2), d = 2.720 Å, 2θ = 32.93°, intensity 58.2
- (1 0 2), d = 2.705 Å, 2θ = 33.12°, intensity 100.0
- (1 -1 1), d = 2.670 Å, 2θ = 33.56°, intensity 42.4
- (0 1 -3), d = 2.623 Å, 2θ = 34.19°, intensity 26.2
- (1 0 3), d = 2.214 Å, 2θ = 40.76°, intensity 20.0
- (0 2 -1), d = 2.171 Å, 2θ = 41.59°, intensity 38.0
- (2 0 0), d = 1.744 Å, 2θ = 52.45°, intensity 24.6
- (0 0 5), d = 1.726 Å, 2θ = 53.05°, intensity 19.4
- (1 2 -3), d = 1.663 Å, 2θ = 55.22°, intensity 39.0
- (1 1 4), d = 1.594 Å, 2θ = 57.85°, intensity 20.5



Simulated powder X-ray diffraction pattern of Sm12Al5Fe14 for copper Kα, from a cell relaxed with PBE.

Cell lengths 8.798, 9.364, 9.423 Å; angles 119.76, 90.42, 90.02 degrees
Space group P-1 (No. 2)
Inequivalent atoms, fractional coordinates:
Sm  0.121  0.173  0.327 [2 per cell]
Sm  0.122  0.653  0.325 [2 per cell]
Sm  0.126  0.174  0.849 [2 per cell]
Sm  0.333  0.537  0.958 [2 per cell]
Sm  0.333  0.540  0.578 [2 per cell]
Sm  0.333  0.920  0.962 [2 per cell]
Al  0.000  0.000  0.000 [1 per cell]
Al  0.000  0.500  0.000 [1 per cell]
Al  0.000  0.500  0.500 [1 per cell]
Al  0.388  0.334  0.169 [2 per cell]
Fe  0.000  0.000  0.500 [1 per cell]
Fe  0.282  0.182  0.590 [2 per cell]
Fe  0.282  0.908  0.591 [2 per cell]
Fe  0.286  0.905  0.310 [2 per cell]
Fe  0.466  0.157  0.814 [2 per cell]
Fe  0.467  0.155  0.342 [2 per cell]
Fe  0.467  0.689  0.345 [2 per cell]
Fe  0.500  0.000  0.500 [1 per cell]

Most intense lines, 2θ from 15° to 90°, by angle:
- (2 1 -1), d = 3.877 Å, 2θ = 22.94°, intensity 33.4
- (1 0 -2), d = 3.721 Å, 2θ = 23.91°, intensity 29.5
- (1 -2 2), d = 3.683 Å, 2θ = 24.16°, intensity 58.8
- (2 2 0), d = 2.978 Å, 2θ = 30.00°, intensity 50.4
- (1 -1 3), d = 2.909 Å, 2θ = 30.74°, intensity 37.1
- (1 0 3), d = 2.594 Å, 2θ = 34.58°, intensity 37.9
- (1 -3 3), d = 2.586 Å, 2θ = 34.69°, intensity 33.4
- (3 -2 0), d = 2.383 Å, 2θ = 37.75°, intensity 100.0
- (3 0 2), d = 2.373 Å, 2θ = 37.91°, intensity 53.3
- (0 2 2), d = 2.356 Å, 2θ = 38.20°, intensity 69.4
- (0 4 -2), d = 2.341 Å, 2θ = 38.46°, intensity 33.8
- (3 2 1), d = 2.118 Å, 2θ = 42.69°, intensity 29.8



Simulated powder X-ray diffraction pattern of Rb2S2O7 for copper Kα, from a cell relaxed with PBE.

Cell lengths 12.928, 7.695, 7.763 Å; angles 90.00, 95.32, 90.00 degrees
Space group C2/c (No. 15)
Inequivalent atoms, fractional coordinates:
Rb  0.143  0.151  0.349 [8 per cell]
S  0.101  0.319  0.856 [8 per cell]
O  0.000  0.422  0.750 [4 per cell]
O  0.058  0.209  0.986 [8 per cell]
O  0.150  0.218  0.726 [8 per cell]
O  0.163  0.465  0.925 [8 per cell]

Most intense lines, 2θ from 15° to 90°, by angle:
- (0 2 0), d = 3.847 Å, 2θ = 23.12°, intensity 31.1
- (3 1 -1), d = 3.485 Å, 2θ = 25.56°, intensity 26.7
- (2 0 -2), d = 3.458 Å, 2θ = 25.76°, intensity 79.8
- (0 2 1), d = 3.444 Å, 2θ = 25.87°, intensity 100.0
- (4 0 0), d = 3.218 Å, 2θ = 27.72°, intensity 73.6
- (2 0 2), d = 3.185 Å, 2θ = 28.01°, intensity 84.4
- (2 2 -1), d = 3.090 Å, 2θ = 28.89°, intensity 34.2
- (2 2 1), d = 2.986 Å, 2θ = 29.92°, intensity 35.6
- (4 2 -1), d = 2.402 Å, 2θ = 37.44°, intensity 41.4
- (3 3 0), d = 2.202 Å, 2θ = 40.99°, intensity 22.5
- (2 2 -3), d = 2.080 Å, 2θ = 43.51°, intensity 41.8
- (2 2 3), d = 1.986 Å, 2θ = 45.68°, intensity 22.4